# 1
Simulated powder XRD pattern
Compound: CdIn2I6
Radiation: λ = 1.5418 Å (Cu Kα)
Structure: a GGA-PBE-relaxed structure

Largest 10 diffraction maxima, by intensity, 2θ from 10° to 80°:
2θ = 25.43°, rel. 100
2θ = 40.36°, rel. 58
2θ = 21.67°, rel. 31
2θ = 13.68°, rel. 23
2θ = 46.24°, rel. 17
2θ = 31.78°, rel. 16
2θ = 61.36°, rel. 15
2θ = 48.29°, rel. 12
2θ = 15.04°, rel. 12
2θ = 10.79°, rel. 10

Structure:
a b c (Å): 9.3426 9.3426 9.3426
angles (deg): 48.98 48.98 48.98
Atoms (fractional coordinates):
Cd: 0.0000 0.0000 0.0000
In: 0.6124 0.6124 0.6124
In: 0.7229 0.7229 0.7229
I: 0.0844 0.3830 0.7921
I: 0.2118 0.9112 0.6195
I: 0.3830 0.7921 0.0844
I: 0.6195 0.2118 0.9112
I: 0.7921 0.0844 0.3830
I: 0.9112 0.6195 0.2118

***

# 2
Simulated powder XRD pattern
Compound: CdInI6
Radiation: λ = 1.5418 Å (Cu Kα)
Structure: a GGA-PBE-relaxed structure

Largest 10 diffraction maxima, by intensity, 2θ from 10° to 80°:
2θ = 27.41°, rel. 100
2θ = 34.44°, rel. 49
2θ = 27.97°, rel. 49
2θ = 14.40°, rel. 34
2θ = 44.18°, rel. 31
2θ = 43.99°, rel. 27
2θ = 23.66°, rel. 23
2θ = 14.05°, rel. 20
2θ = 43.04°, rel. 16
2θ = 52.11°, rel. 16

Structure:
a b c (Å): 7.0449 12.6099 7.5194
angles (deg): 90.00 90.17 90.00
Atoms (fractional coordinates):
Cd: 0.0000 0.0000 0.0000
Cd: 0.5000 0.5000 0.0000
In: 0.0000 0.0000 0.5000
In: 0.5000 0.5000 0.5000
I: 0.1629 0.1608 0.2574
I: 0.1629 0.8392 0.2574
I: 0.1701 0.5000 0.2566
I: 0.3299 0.0000 0.7434
I: 0.3371 0.3392 0.7426
I: 0.3371 0.6608 0.7426
I: 0.6629 0.3392 0.2574
I: 0.6629 0.6608 0.2574
I: 0.6701 0.0000 0.2566
I: 0.8299 0.5000 0.7434
I: 0.8371 0.1608 0.7426
I: 0.8371 0.8392 0.7426

***

# 3
Simulated powder XRD pattern
Compound: Cd2InIO6
Radiation: λ = 1.5418 Å (Cu Kα)
Structure: a GGA-PBE-relaxed structure

Largest 10 diffraction maxima, by intensity, 2θ from 10° to 80°:
2θ = 30.31°, rel. 100
2θ = 31.31°, rel. 92
2θ = 44.14°, rel. 44
2θ = 55.11°, rel. 40
2θ = 55.73°, rel. 27
2θ = 49.01°, rel. 22
2θ = 53.22°, rel. 14
2θ = 73.70°, rel. 14
2θ = 21.66°, rel. 13
2θ = 65.32°, rel. 12

Structure:
a b c (Å): 5.9031 5.9031 5.9031
angles (deg): 57.89 57.89 57.89
Atoms (fractional coordinates):
Cd: 0.0000 0.0000 0.0000
Cd: 0.4960 0.4960 0.4960
In: 0.2220 0.2220 0.2220
I: 0.7178 0.7178 0.7178
O: 0.0822 0.4411 0.8433
O: 0.3543 0.9280 0.5946
O: 0.4411 0.8433 0.0822
O: 0.5946 0.3543 0.9280
O: 0.8433 0.0822 0.4411
O: 0.9280 0.5946 0.3543

***

# 4
Simulated powder XRD pattern
Compound: CdIn2IO8
Radiation: λ = 1.5418 Å (Cu Kα)
Structure: a GGA-PBE-relaxed structure

Largest 10 diffraction maxima, by intensity, 2θ from 10° to 80°:
2θ = 32.30°, rel. 100
2θ = 25.40°, rel. 63
2θ = 26.32°, rel. 55
2θ = 49.31°, rel. 41
2θ = 50.36°, rel. 38
2θ = 36.90°, rel. 27
2θ = 63.60°, rel. 23
2θ = 61.01°, rel. 11
2θ = 67.60°, rel. 11
2θ = 52.16°, rel. 9

Structure:
a b c (Å): 4.8718 6.7400 4.8780
angles (deg): 90.00 92.01 90.00
Atoms (fractional coordinates):
Cd: 0.0000 0.0000 0.0000
In: 0.5000 0.2526 0.5000
In: 0.5000 0.7474 0.5000
I: 0.0000 0.5000 0.0000
O: 0.1854 0.2920 0.8182
O: 0.1854 0.7080 0.8182
O: 0.2846 0.5000 0.2889
O: 0.3114 0.0000 0.3145
O: 0.6886 0.0000 0.6855
O: 0.7154 0.5000 0.7111
O: 0.8146 0.2920 0.1818
O: 0.8146 0.7080 0.1818